[1]
Starting from a cell relaxed with GGA+U, the powder diffraction line list of Li9Co7O16 was computed for copper Kα.
Peak positions follow from Bragg's law for the DFT cell and can differ from measured ones.

Peak list (10 most intense, 10° ≤ 2θ ≤ 90°, sorted by position)
| index | 2theta | d/Å | I/Imax |
| --- | --- | --- | --- |
| 0 1 1 | 18.6 | 4.783 | 100 |
| 2 0 0 | 36.3 | 2.476 | 14 |
| 1 -2 2 | 36.9 | 2.435 | 25 |
| 1 -1 3 | 38.4 | 2.344 | 8 |
| 2 1 1 | 43.7 | 2.070 | 27 |
| 1 -3 1 | 44.6 | 2.032 | 26 |
| 1 0 -4 | 44.7 | 2.027 | 25 |
| 1 3 -1 | 48.4 | 1.881 | 9 |
| 1 4 0 | 63.9 | 1.457 | 14 |
| 3 1 -3 | 64.8 | 1.440 | 7 |

Cell and atoms:
```
data_Li9Co7O16
_chemical_formula_sum 'Li9 Co7 O16'
_symmetry_space_group_name_H-M 'P -1'
_symmetry_Int_Tables_number 2
_symmetry_space_group_name_Hall '-P 1'
_cell_length_a 5.0156
_cell_length_b 6.4616
_cell_length_c 8.5942
_cell_angle_alpha 97.15
_cell_angle_beta 94.98
_cell_angle_gamma 96.87
loop_
_atom_site_label
_atom_site_type_symbol
_atom_site_fract_x
_atom_site_fract_y
_atom_site_fract_z
Li1 Li 0.0000 0.0000 0.0000
Li2 Li 0.2487 0.4275 0.0601
Li3 Li 0.2495 0.9365 0.5625
Li4 Li 0.2517 0.1822 0.3035
Li5 Li 0.2525 0.6940 0.8170
Co1 Co 0.0001 0.2441 0.7549
Co2 Co 0.0000 0.5000 0.5000
Co3 Co 0.4994 0.3745 0.6257
Co4 Co 0.4998 0.1240 0.8751
O1 O 0.1165 0.4882 0.2918
O2 O 0.1194 0.2340 0.5453
O3 O 0.1384 0.9991 0.7824
O4 O 0.1409 0.7274 0.0549
O5 O 0.3571 0.3851 0.8367
O6 O 0.3567 0.8926 0.3310
O7 O 0.3815 0.6519 0.5902
O8 O 0.3938 0.1413 0.0841
```


[2]
Starting from a cell relaxed with GGA+U, the powder diffraction line list of Li4V2P3O12 was computed for copper Kα.
Peak positions follow from Bragg's law for the DFT cell and can differ from measured ones.

Peak list (10 most intense, 10° ≤ 2θ ≤ 90°, sorted by position)
| index | 2theta | d/Å | I/Imax |
| --- | --- | --- | --- |
| 1 1 0 | 19.5 | 4.544 | 13 |
| 1 0 4 | 21.2 | 4.189 | 46 |
| 1 1 3 | 23.8 | 3.742 | 100 |
| 0 2 4 | 29.0 | 3.080 | 17 |
| 2 1 1 | 30.4 | 2.941 | 18 |
| 1 1 6 | 33.6 | 2.670 | 29 |
| 3 0 0 | 34.2 | 2.623 | 28 |
| 1 2 8 | 47.8 | 1.902 | 13 |
| 2 2 6 | 48.7 | 1.871 | 14 |
| 4 1 0 | 53.3 | 1.717 | 14 |

Cell and atoms:
```
data_Li4V2P3O12
_chemical_formula_sum 'Li24 V12 P18 O72'
_symmetry_space_group_name_H-M 'R -3 c'
_symmetry_Int_Tables_number 167
_symmetry_space_group_name_Hall '-R 3 2"c'
_cell_length_a 9.0872
_cell_length_b 9.0872
_cell_length_c 19.7935
_cell_angle_alpha 90.00
_cell_angle_beta 90.00
_cell_angle_gamma 120.00
loop_
_atom_site_label
_atom_site_type_symbol
_atom_site_fract_x
_atom_site_fract_y
_atom_site_fract_z
Li1 Li 0.0000 0.0000 0.0000
Li2 Li 0.0000 0.4062 0.2500
V1 V 0.0000 0.0000 0.1440
P1 P 0.0000 0.3034 0.7500
O1 O 0.0026 0.2108 0.6858
O2 O 0.0047 0.1808 0.4231
```


[3]
Starting from a cell relaxed with GGA+U, the powder diffraction line list of LiVP2O8 was computed for copper Kα.
Peak positions follow from Bragg's law for the DFT cell and can differ from measured ones.

Peak list (10 most intense, 10° ≤ 2θ ≤ 90°, sorted by position)
| index | 2theta | d/Å | I/Imax |
| --- | --- | --- | --- |
| 1 0 0 | 12.0 | 7.405 | 100 |
| 1 1 -2 | 23.9 | 3.716 | 54 |
| 1 -2 1 | 24.2 | 3.684 | 47 |
| 1 1 1 | 24.2 | 3.673 | 50 |
| 1 0 -2 | 26.7 | 3.339 | 7 |
| 1 2 0 | 27.1 | 3.285 | 8 |
| 2 1 -2 | 31.7 | 2.819 | 10 |
| 2 -2 1 | 32.0 | 2.794 | 14 |
| 2 1 1 | 32.3 | 2.774 | 13 |
| 0 0 3 | 36.5 | 2.464 | 9 |

Cell and atoms:
```
data_LiVP2O8
_chemical_formula_sum 'Li3 V3 P6 O24'
_symmetry_space_group_name_H-M 'P 1'
_symmetry_Int_Tables_number 1
_symmetry_space_group_name_Hall 'P 1'
_cell_length_a 7.4074
_cell_length_b 8.4911
_cell_length_c 8.5002
_cell_angle_alpha 119.52
_cell_angle_beta 91.12
_cell_angle_gamma 90.05
loop_
_atom_site_label
_atom_site_type_symbol
_atom_site_fract_x
_atom_site_fract_y
_atom_site_fract_z
Li1 Li 0.0000 0.0000 0.0000
Li2 Li 0.0152 0.6529 0.3136
Li3 Li 0.1034 0.3209 0.4588
V1 V 0.4288 0.9945 0.9940
V2 V 0.5092 0.3346 0.6715
V3 V 0.5860 0.6723 0.3353
P1 P 0.2850 0.9699 0.3424
P2 P 0.2860 0.3720 0.0244
P3 P 0.2893 0.6523 0.6250
P4 P 0.7265 0.0129 0.7089
P5 P 0.7276 0.2974 0.3114
P6 P 0.7282 0.6951 0.9885
O1 O 0.1137 0.4727 0.0723
O2 O 0.1205 0.8949 0.3806
O3 O 0.1216 0.5756 0.5080
O4 O 0.2623 0.8367 0.8002
O5 O 0.2706 0.9693 0.1568
O6 O 0.2749 0.1922 0.0333
O7 O 0.3262 0.1736 0.4809
O8 O 0.3569 0.5201 0.6905
O9 O 0.3587 0.3119 0.8323
O10 O 0.4441 0.4943 0.1549
O11 O 0.4457 0.6703 0.5140
O12 O 0.4576 0.8601 0.3392
O13 O 0.5593 0.8106 0.9944
O14 O 0.5623 0.9947 0.8141
O15 O 0.5838 0.1698 0.1700
O16 O 0.6453 0.3497 0.4977
O17 O 0.6550 0.1466 0.6453
O18 O 0.6659 0.4970 0.8508
O19 O 0.7437 0.4789 0.3086
O20 O 0.7461 0.6970 0.1728
O21 O 0.7463 0.8305 0.5287
O22 O 0.8928 0.0723 0.8248
O23 O 0.8931 0.7593 0.9396
O24 O 0.9081 0.2068 0.2830
```


[4]
Starting from a cell relaxed with GGA+U, the powder diffraction line list of MgV4As2O13 was computed for copper Kα.
Peak positions follow from Bragg's law for the DFT cell and can differ from measured ones.

Peak list (10 most intense, 10° ≤ 2θ ≤ 90°, sorted by position)
| index | 2theta | d/Å | I/Imax |
| --- | --- | --- | --- |
| 1 0 1 | 19.7 | 4.513 | 31 |
| 1 -1 0 | 25.8 | 3.452 | 98 |
| 1 1 -1 | 26.0 | 3.432 | 100 |
| 1 0 -2 | 26.8 | 3.333 | 18 |
| 1 1 2 | 27.7 | 3.218 | 54 |
| 0 1 -2 | 28.2 | 3.166 | 15 |
| 0 0 3 | 29.8 | 3.001 | 44 |
| 0 1 3 | 31.7 | 2.822 | 19 |
| 1 0 3 | 34.2 | 2.624 | 15 |
| -2 2 1 | 53.1 | 1.725 | 19 |

Cell and atoms:
```
data_MgV4As2O13
_chemical_formula_sum 'Mg1 V4 As2 O13'
_symmetry_space_group_name_H-M 'P 1'
_symmetry_Int_Tables_number 1
_symmetry_space_group_name_Hall 'P 1'
_cell_length_a 5.1861
_cell_length_b 5.3979
_cell_length_c 9.1478
_cell_angle_alpha 79.88
_cell_angle_beta 86.93
_cell_angle_gamma 81.90
loop_
_atom_site_label
_atom_site_type_symbol
_atom_site_fract_x
_atom_site_fract_y
_atom_site_fract_z
Mg1 Mg 0.0000 0.0000 0.0000
V1 V 0.0689 0.3070 0.6085
V2 V 0.4504 0.7788 0.1963
V3 V 0.5771 0.0156 0.8478
V4 V 0.8278 0.1458 0.2664
As1 As 0.1470 0.5185 0.9372
As2 As 0.5302 0.7435 0.5460
O1 O 0.0966 0.8643 0.2252
O2 O 0.1041 0.2936 0.0878
O3 O 0.3126 0.3523 0.8072
O4 O 0.3310 0.7545 0.9720
O5 O 0.3470 0.5237 0.5138
O6 O 0.4000 0.9629 0.6577
O7 O 0.5650 0.9259 0.3661
O8 O 0.6268 0.4773 0.2303
O9 O 0.6329 0.0330 0.0777
O10 O 0.8411 0.6319 0.5984
O11 O 0.8541 0.6939 0.9023
O12 O 0.8786 0.1658 0.7850
O13 O 0.9772 0.2013 0.4580
```


[5]
Starting from a cell relaxed with GGA+U, the powder diffraction line list of KBaPrWO6 was computed for copper Kα.
Peak positions follow from Bragg's law for the DFT cell and can differ from measured ones.

Peak list (10 most intense, 10° ≤ 2θ ≤ 90°, sorted by position)
| index | 2theta | d/Å | I/Imax |
| --- | --- | --- | --- |
| 1 1 0 | 14.5 | 6.094 | 7 |
| 2 0 0 | 20.6 | 4.311 | 19 |
| 2 2 0 | 29.3 | 3.048 | 100 |
| 4 0 0 | 41.9 | 2.155 | 29 |
| 2 4 0 | 47.1 | 1.928 | 8 |
| 2 4 2 | 52.0 | 1.760 | 41 |
| 4 0 4 | 60.8 | 1.524 | 18 |
| 2 6 0 | 68.8 | 1.364 | 12 |
| 6 0 2 | 68.9 | 1.362 | 6 |
| 2 6 4 | 84.0 | 1.152 | 18 |

Cell and atoms:
```
data_KBaPrWO6
_chemical_formula_sum 'K4 Ba4 Pr4 W4 O24'
_symmetry_space_group_name_H-M 'P n n n'
_symmetry_Int_Tables_number 48
_cell_length_a 8.6146
_cell_length_b 8.6211
_cell_length_c 8.6299
_cell_angle_alpha 90.00
_cell_angle_beta 90.00
_cell_angle_gamma 90.00
loop_
_symmetry_equiv_pos_as_xyz
'x,y,z'
'-x,-y,-z'
'-x+1/2,-y+1/2,z'
'x+1/2,y+1/2,-z'
'x,-y+1/2,-z+1/2'
'-x,y+1/2,z+1/2'
'-x+1/2,y,-z+1/2'
'x+1/2,-y,z+1/2'
loop_
_atom_site_label
_atom_site_type_symbol
_atom_site_fract_x
_atom_site_fract_y
_atom_site_fract_z
K1 K 0.2500 0.2500 0.2500
K2 K 0.2500 0.2500 0.7500
Ba1 Ba 0.2500 0.7500 0.2500
Ba2 Ba 0.2500 0.7500 0.7500
Pr1 Pr 0.0000 0.0000 0.0000
W1 W 0.0000 0.0000 0.5000
O1 O 0.0128 0.2255 0.4780
O2 O 0.0204 0.0191 0.7255
O3 O 0.2264 0.5272 0.0179
```


[6]
Starting from a cell relaxed with GGA+U, the powder diffraction line list of VPH5O7 was computed for copper Kα.
Peak positions follow from Bragg's law for the DFT cell and can differ from measured ones.

Peak list (10 most intense, 10° ≤ 2θ ≤ 90°, sorted by position)
| index | 2theta | d/Å | I/Imax |
| --- | --- | --- | --- |
| 1 0 0 | 10.9 | 8.081 | 100 |
| 0 1 1 | 15.5 | 5.732 | 15 |
| 1 1 0 | 16.7 | 5.308 | 17 |
| 0 0 2 | 17.9 | 4.947 | 12 |
| 1 1 -2 | 22.9 | 3.879 | 50 |
| 2 1 -1 | 25.5 | 3.500 | 12 |
| 2 0 -2 | 25.5 | 3.487 | 36 |
| 0 2 1 | 26.9 | 3.315 | 14 |
| 1 2 1 | 29.8 | 2.998 | 48 |
| 2 0 2 | 31.3 | 2.861 | 18 |

Cell and atoms:
```
data_VPH5O7
_chemical_formula_sum 'V4 P4 H20 O28'
_symmetry_space_group_name_H-M 'P 1 21/c 1'
_symmetry_Int_Tables_number 14
_symmetry_space_group_name_Hall '-P 2ybc'
_cell_length_a 8.2472
_cell_length_b 7.0397
_cell_length_c 10.0769
_cell_angle_alpha 90.00
_cell_angle_beta 101.52
_cell_angle_gamma 90.00
loop_
_atom_site_label
_atom_site_type_symbol
_atom_site_fract_x
_atom_site_fract_y
_atom_site_fract_z
V1 V 0.0444 0.1231 0.2408
P1 P 0.2255 0.6489 0.9907
H1 H 0.1726 0.0407 0.0513
H2 H 0.2244 0.0085 0.6792
H3 H 0.3961 0.5144 0.7097
H4 H 0.4578 0.7290 0.6127
H5 H 0.4974 0.6526 0.8197
O1 O 0.0510 0.1352 0.7816
O2 O 0.1263 0.6773 0.4328
O3 O 0.1724 0.6072 0.1345
O4 O 0.1996 0.0293 0.4051
O5 O 0.2138 0.0870 0.1441
O6 O 0.4156 0.6905 0.0248
O7 O 0.4989 0.5965 0.7312
```